# 1
Simulated XRD peak list
Compound: MgSc2Tl
Radiation: Cu Kα X-rays
Structure: the GGA-PBE geometry in the Materials Project
Neutral-atom scattering factors, no anomalous dispersion.

Structure:
```
data_MgSc2Tl
_space_group_name_H-M_alt 'P 1'
_space_group_IT_number 1
_cell_length_a 7.161
_cell_length_b 7.161
_cell_length_c 7.161
_cell_angle_alpha 90.00
_cell_angle_beta 90.00
_cell_angle_gamma 90.00
loop_
_space_group_symop_operation_xyz
'x,y,z'
loop_
_atom_site_label
_atom_site_fract_x
_atom_site_fract_y
_atom_site_fract_z
Mg1 0.000 0.000 0.000
Mg2 0.000 0.500 0.500
Mg3 0.500 0.000 0.500
Mg4 0.500 0.500 0.000
Sc1 0.250 0.250 0.250
Sc2 0.250 0.250 0.750
Sc3 0.250 0.750 0.250
Sc4 0.250 0.750 0.750
Sc5 0.750 0.250 0.250
Sc6 0.750 0.250 0.750
Sc7 0.750 0.750 0.250
Sc8 0.750 0.750 0.750
Tl1 0.000 0.000 0.500
Tl2 0.000 0.500 0.000
Tl3 0.500 0.000 0.000
Tl4 0.500 0.500 0.500
```

Principal peaks in the range 2θ from 10° to 90°, sorted by position:
d [Å]	2theta	I_rel
4.134	21.5	70
3.580	24.9	22
2.532	35.5	100
2.159	41.8	39
1.790	51.0	17
1.643	56.0	17
1.462	63.7	35
1.378	68.0	13
1.210	79.1	13
1.132	85.8	15

=====

# 2
Simulated XRD peak list
Compound: AgSbPb2S4
Radiation: Cu Kα X-rays
Structure: the GGA-PBE geometry in the Materials Project
Neutral-atom scattering factors, no anomalous dispersion.

Structure:
```
data_AgSbPb2S4
_space_group_name_H-M_alt 'P 1'
_space_group_IT_number 1
_cell_length_a 5.747
_cell_length_b 5.747
_cell_length_c 12.078
_cell_angle_alpha 90.00
_cell_angle_beta 90.00
_cell_angle_gamma 90.00
loop_
_space_group_symop_operation_xyz
'x,y,z'
loop_
_atom_site_label
_atom_site_fract_x
_atom_site_fract_y
_atom_site_fract_z
Ag1 0.000 0.000 0.000
Ag2 0.500 0.500 0.500
Sb1 0.000 0.000 0.500
Sb2 0.500 0.500 0.000
Pb1 0.000 0.500 0.250
Pb2 0.000 0.500 0.750
Pb3 0.500 0.000 0.250
Pb4 0.500 0.000 0.750
S1 0.000 0.000 0.275
S2 0.000 0.000 0.725
S3 0.000 0.500 0.000
S4 0.000 0.500 0.500
S5 0.500 0.000 0.000
S6 0.500 0.000 0.500
S7 0.500 0.500 0.225
S8 0.500 0.500 0.775
```

Principal peaks in the range 2θ from 10° to 90°, sorted by position:
d [Å]	2theta	I_rel
3.371	26.4	100
3.019	29.6	43
2.873	31.1	78
2.082	43.5	59
2.032	44.6	29
1.804	50.6	20
1.740	52.6	33
1.686	54.4	30
1.349	69.7	15
1.182	81.4	19

=====

# 3
Simulated XRD peak list
Compound: TiTl2Te3O12
Radiation: Cu Kα X-rays
Structure: the GGA-PBE geometry in the Materials Project
Neutral-atom scattering factors, no anomalous dispersion.

Structure:
```
data_TiTl2Te3O12
_space_group_name_H-M_alt 'P 1'
_space_group_IT_number 1
_cell_length_a 7.238
_cell_length_b 7.238
_cell_length_c 7.244
_cell_angle_alpha 119.70
_cell_angle_beta 119.70
_cell_angle_gamma 60.29
loop_
_space_group_symop_operation_xyz
'x,y,z'
loop_
_atom_site_label
_atom_site_fract_x
_atom_site_fract_y
_atom_site_fract_z
Ti1 0.000 0.000 0.000
Tl1 0.389 0.327 0.612
Tl2 0.673 0.611 0.388
Te1 0.497 0.003 0.999
Te2 0.997 0.503 0.001
Te3 0.998 0.002 0.500
O1 0.059 0.685 0.933
O2 0.060 0.072 0.320
O3 0.067 0.678 0.326
O4 0.315 0.941 0.067
O5 0.322 0.329 0.072
O6 0.322 0.933 0.674
O7 0.671 0.678 0.928
O8 0.672 0.076 0.325
O9 0.677 0.070 0.934
O10 0.924 0.328 0.675
O11 0.928 0.940 0.680
O12 0.930 0.323 0.066
```

Principal peaks in the range 2θ from 10° to 90°, sorted by position:
d [Å]	2theta	I_rel
3.630	24.5	26
3.619	24.6	21
3.097	28.8	100
3.085	28.9	18
2.967	30.1	18
2.097	43.1	14
1.977	45.9	20
1.973	46.0	10
1.818	50.2	18
1.810	50.4	19

=====

# 4
Simulated XRD peak list
Compound: DyTe3O8
Radiation: Cu Kα X-rays
Structure: the GGA-PBE geometry in the Materials Project
Neutral-atom scattering factors, no anomalous dispersion.

Structure:
```
data_DyTe3O8
_space_group_name_H-M_alt 'P 1'
_space_group_IT_number 1
_cell_length_a 6.872
_cell_length_b 6.872
_cell_length_c 10.535
_cell_angle_alpha 113.88
_cell_angle_beta 113.88
_cell_angle_gamma 48.28
loop_
_space_group_symop_operation_xyz
'x,y,z'
loop_
_atom_site_label
_atom_site_fract_x
_atom_site_fract_y
_atom_site_fract_z
Dy1 0.061 0.939 0.750
Dy2 0.939 0.061 0.250
Te1 0.193 0.366 0.143
Te2 0.366 0.193 0.643
Te3 0.500 0.500 0.000
Te4 0.500 0.500 0.500
Te5 0.634 0.807 0.357
Te6 0.807 0.634 0.857
O1 0.070 0.285 0.915
O2 0.135 0.640 0.868
O3 0.178 0.653 0.330
O4 0.284 0.505 0.595
O5 0.285 0.070 0.415
O6 0.347 0.822 0.170
O7 0.360 0.865 0.632
O8 0.495 0.716 0.905
O9 0.505 0.284 0.095
O10 0.640 0.135 0.368
O11 0.653 0.178 0.830
O12 0.715 0.930 0.585
O13 0.716 0.495 0.405
O14 0.822 0.347 0.670
O15 0.865 0.360 0.132
O16 0.930 0.715 0.085
```

Principal peaks in the range 2θ from 10° to 90°, sorted by position:
d [Å]	2theta	I_rel
3.351	26.6	20
3.201	27.9	100
3.144	28.4	98
2.810	31.8	39
2.694	33.3	19
2.633	34.1	28
1.988	45.6	20
1.921	47.3	17
1.896	48.0	17
1.617	56.9	23

=====

# 5
Simulated XRD peak list
Compound: GdPS
Radiation: Cu Kα X-rays
Structure: the GGA-PBE geometry in the Materials Project
Neutral-atom scattering factors, no anomalous dispersion.

Structure:
```
data_GdPS
_space_group_name_H-M_alt 'P 1'
_space_group_IT_number 1
_cell_length_a 5.435
_cell_length_b 5.370
_cell_length_c 16.834
_cell_angle_alpha 90.00
_cell_angle_beta 90.00
_cell_angle_gamma 90.00
loop_
_space_group_symop_operation_xyz
'x,y,z'
loop_
_atom_site_label
_atom_site_fract_x
_atom_site_fract_y
_atom_site_fract_z
Gd1 0.015 0.250 0.147
Gd2 0.016 0.750 0.362
Gd3 0.484 0.250 0.862
Gd4 0.485 0.750 0.647
Gd5 0.515 0.250 0.353
Gd6 0.516 0.750 0.138
Gd7 0.984 0.250 0.638
Gd8 0.985 0.750 0.853
P1 0.202 0.538 0.997
P2 0.202 0.962 0.997
P3 0.298 0.038 0.497
P4 0.298 0.462 0.497
P5 0.702 0.538 0.503
P6 0.702 0.962 0.503
P7 0.798 0.038 0.003
P8 0.798 0.462 0.003
S1 0.012 0.250 0.317
S2 0.015 0.750 0.189
S3 0.485 0.250 0.689
S4 0.488 0.750 0.817
S5 0.512 0.250 0.183
S6 0.515 0.750 0.311
S7 0.985 0.250 0.811
S8 0.988 0.750 0.683
```

Principal peaks in the range 2θ from 10° to 90°, sorted by position:
d [Å]	2theta	I_rel
4.208	21.1	30
3.479	25.6	100
2.806	31.9	20
2.718	33.0	21
2.685	33.4	22
2.283	39.5	27
2.262	39.8	68
1.910	47.6	25
1.843	49.5	14
1.682	54.6	14

=====

# 6
Simulated XRD peak list
Compound: UH4C2SeN4O7
Radiation: Cu Kα X-rays
Structure: the GGA-PBE geometry in the Materials Project
Neutral-atom scattering factors, no anomalous dispersion.

Structure:
```
data_UH4C2SeN4O7
_space_group_name_H-M_alt 'P 1'
_space_group_IT_number 1
_cell_length_a 6.389
_cell_length_b 13.644
_cell_length_c 6.542
_cell_angle_alpha 90.00
_cell_angle_beta 107.13
_cell_angle_gamma 90.00
loop_
_space_group_symop_operation_xyz
'x,y,z'
loop_
_atom_site_label
_atom_site_fract_x
_atom_site_fract_y
_atom_site_fract_z
U1 0.237 0.250 0.239
U2 0.763 0.750 0.761
H1 0.270 0.042 0.640
H2 0.270 0.458 0.640
H3 0.298 0.588 0.673
H4 0.298 0.912 0.673
H5 0.702 0.088 0.327
H6 0.702 0.412 0.327
H7 0.730 0.542 0.360
H8 0.730 0.958 0.360
C1 0.418 0.009 0.220
C2 0.418 0.491 0.220
C3 0.582 0.509 0.780
C4 0.582 0.991 0.780
Se1 0.071 0.250 0.667
Se2 0.929 0.750 0.333
N1 0.336 0.586 0.183
N2 0.336 0.914 0.183
N3 0.366 0.520 0.694
N4 0.366 0.980 0.694
N5 0.634 0.020 0.306
N6 0.634 0.480 0.306
N7 0.664 0.086 0.817
N8 0.664 0.414 0.817
O1 0.050 0.750 0.905
O2 0.141 0.155 0.520
O3 0.141 0.345 0.520
O4 0.277 0.077 0.166
O5 0.277 0.423 0.166
O6 0.286 0.250 0.904
O7 0.470 0.750 0.622
O8 0.530 0.250 0.378
O9 0.714 0.750 0.096
O10 0.723 0.577 0.834
O11 0.723 0.923 0.834
O12 0.859 0.655 0.480
O13 0.859 0.845 0.480
O14 0.950 0.250 0.095
```

Principal peaks in the range 2θ from 10° to 90°, sorted by position:
d [Å]	2theta	I_rel
6.822	13.0	70
5.684	15.6	35
5.573	15.9	100
4.549	19.5	17
3.647	24.4	29
3.411	26.1	24
3.106	28.7	30
3.051	29.3	16
2.611	34.3	21
2.431	37.0	27

=====

# 7
Simulated XRD peak list
Compound: Na2H12SO11
Radiation: Cu Kα X-rays
Structure: the GGA-PBE geometry in the Materials Project
Neutral-atom scattering factors, no anomalous dispersion.

Structure:
```
data_Na2H12SO11
_space_group_name_H-M_alt 'P 1'
_space_group_IT_number 1
_cell_length_a 12.348
_cell_length_b 7.181
_cell_length_c 12.347
_cell_angle_alpha 73.10
_cell_angle_beta 33.81
_cell_angle_gamma 73.09
loop_
_space_group_symop_operation_xyz
'x,y,z'
loop_
_atom_site_label
_atom_site_fract_x
_atom_site_fract_y
_atom_site_fract_z
Na1 0.115 0.885 0.117
Na2 0.133 0.367 0.135
Na3 0.367 0.133 0.365
Na4 0.885 0.115 0.883
H1 0.062 0.460 0.623
H2 0.063 0.854 0.622
H3 0.112 0.518 0.891
H4 0.137 0.770 0.360
H5 0.191 0.401 0.626
H6 0.191 0.780 0.626
H7 0.359 0.770 0.138
H8 0.395 0.627 0.790
H9 0.401 0.191 0.781
H10 0.460 0.062 0.855
H11 0.469 0.624 0.849
H12 0.517 0.890 0.480
H13 0.518 0.112 0.480
H14 0.624 0.469 0.059
H15 0.624 0.847 0.059
H16 0.627 0.395 0.188
H17 0.628 0.789 0.187
H18 0.770 0.137 0.733
H19 0.770 0.359 0.732
H20 0.780 0.191 0.403
H21 0.789 0.628 0.396
H22 0.847 0.624 0.470
H23 0.854 0.063 0.461
H24 0.890 0.517 0.113
S1 0.499 0.499 0.501
S2 0.749 0.749 0.751
O1 0.026 0.510 0.027
O2 0.128 0.346 0.625
O3 0.129 0.900 0.624
O4 0.223 0.814 0.224
O5 0.245 0.245 0.255
O6 0.290 0.537 0.633
O7 0.346 0.128 0.902
O8 0.348 0.625 0.904
O9 0.510 0.026 0.436
O10 0.537 0.290 0.540
O11 0.537 0.631 0.540
O12 0.617 0.710 0.960
O13 0.625 0.348 0.122
O14 0.626 0.903 0.121
O15 0.631 0.537 0.292
O16 0.710 0.617 0.713
O17 0.710 0.958 0.713
O18 0.814 0.223 0.740
O19 0.900 0.129 0.347
O20 0.903 0.626 0.350
O21 0.958 0.710 0.619
O22 0.995 0.995 0.005
```

Principal peaks in the range 2θ from 10° to 90°, sorted by position:
d [Å]	2theta	I_rel
5.188	17.1	100
4.628	19.2	41
3.814	23.3	27
3.590	24.8	23
3.027	29.5	73
2.952	30.3	28
2.814	31.8	25
2.539	35.4	43
1.885	48.3	35
1.795	50.9	20

=====

Number 5 is which compound?
GdPS